Computed XRD peak list
Compound: Cu11S16
Radiation: a wavelength of 1.5418 Å
Structure: a DFT-relaxed cell (PBE, the Materials Project)

Atomic structure:
Unit cell a=5.9424 b=5.9424 c=23.3419 alpha=98.96 beta=98.96 gamma=36.97
Fractional coordinates of all 27 atoms:
1 Cu 0.0000 0.0000 0.0000
2 Cu 0.9995 0.9995 0.2566
3 Cu 0.2373 0.2373 0.1831
4 Cu 0.2439 0.2439 0.9199
5 Cu 0.4645 0.4645 0.3576
6 Cu 0.4729 0.4729 0.8632
7 Cu 0.4741 0.4741 0.1094
8 Cu 0.5017 0.5017 0.6281
9 Cu 0.7444 0.7444 0.5482
10 Cu 0.9635 0.9635 0.7307
11 Cu 0.9748 0.9748 0.4904
12 S 0.0277 0.0277 0.1627
13 S 0.0286 0.0286 0.4019
14 S 0.0405 0.0405 0.9079
15 S 0.0928 0.0928 0.6654
16 S 0.2755 0.2755 0.0941
17 S 0.2772 0.2772 0.3927
18 S 0.2785 0.2785 0.8154
19 S 0.3028 0.3028 0.5955
20 S 0.5288 0.5288 0.7752
21 S 0.5402 0.5402 0.5348
22 S 0.5978 0.5978 0.2931
23 S 0.5985 0.5985 0.0432
24 S 0.7768 0.7768 0.7653
25 S 0.7790 0.7790 0.4422
26 S 0.7966 0.7966 0.2352
27 S 0.8028 0.8028 0.9663

The 10 most intense peaks (5 to 70 degrees two-theta), by intensity:
| d/Å | 2θ (°) | I (rel.) |
| --- | --- | --- |
| 2.964 | 30.15 | 100 |
| 2.747 | 32.60 | 43 |
| 2.780 | 32.20 | 42 |
| 1.884 | 48.30 | 28 |
| 1.745 | 52.44 | 24 |
| 5.559 | 15.94 | 24 |
| 1.728 | 52.98 | 20 |
| 1.554 | 59.49 | 16 |
| 1.560 | 59.25 | 13 |
| 1.887 | 48.22 | 13 |